[1]
For LaIn3Pt, the GGA-PBE geometry in OQMD gives the simulated XRD peak list in this record (Cu Ka).
Kinematic intensities with the Lorentz-polarization factor, no thermal factor.

The 6 most intense peaks (2θ = 10–80°), in order of falling intensity:
2θ/deg	d [Å]	intensity
31.2	2.863	100
38.7	2.324	76
30.0	2.983	61
43.4	2.085	39
41.4	2.182	39
59.6	1.552	31

Crystal structure
a = 6.6955 Å, b = 6.6955 Å, c = 6.6955 Å
α = 139.38°, β = 139.38°, γ = 58.79°
Fractional positions:
La (0.0000, 0.0000, 0.0000)
In (0.2468, 0.7468, 0.5000)
In (0.4075, 0.4075, 0.0000)
In (0.7468, 0.2468, 0.5000)
Pt (0.6300, 0.6300, 0.0000)

=====

[2]
For OsBr4, the GGA-PBE geometry in OQMD gives the simulated XRD peak list in this record (Cu Ka).
Kinematic intensities with the Lorentz-polarization factor, no thermal factor.

The 6 most intense peaks (2θ = 10–80°), in order of falling intensity:
2θ/deg	d [Å]	intensity
15.7	5.659	100
31.6	2.827	94
35.7	2.513	61
12.0	7.378	46
49.6	1.838	33
19.8	4.484	28

Crystal structure
a = 6.3607 Å, b = 12.2551 Å, c = 14.7568 Å
α = 90.00°, β = 90.00°, γ = 90.00°
Fractional positions:
Os (0.0964, 0.1292, 0.1820)
Os (0.0964, 0.3708, 0.6820)
Os (0.4036, 0.6292, 0.1820)
Os (0.4036, 0.8708, 0.6820)
Os (0.5964, 0.1292, 0.3180)
Os (0.5964, 0.3708, 0.8180)
Os (0.9036, 0.6292, 0.3180)
Os (0.9036, 0.8708, 0.8180)
Br (0.0550, 0.7501, 0.4297)
Br (0.0550, 0.7499, 0.9297)
Br (0.0745, 0.7423, 0.1912)
Br (0.0745, 0.7577, 0.6912)
Br (0.2327, 0.5156, 0.3088)
Br (0.2327, 0.9844, 0.8088)
Br (0.2469, 0.0077, 0.0700)
Br (0.2469, 0.4923, 0.5700)
Br (0.2531, 0.5077, 0.0700)
Br (0.2531, 0.9923, 0.5700)
Br (0.2673, 0.0156, 0.3088)
Br (0.2673, 0.4844, 0.8088)
Br (0.4255, 0.2423, 0.1912)
Br (0.4255, 0.2577, 0.6912)
Br (0.4450, 0.2501, 0.4297)
Br (0.4450, 0.2499, 0.9297)
Br (0.5550, 0.7501, 0.0703)
Br (0.5550, 0.7499, 0.5703)
Br (0.5745, 0.7423, 0.3088)
Br (0.5745, 0.7577, 0.8088)
Br (0.7327, 0.5156, 0.1912)
Br (0.7327, 0.9844, 0.6912)
Br (0.7469, 0.0077, 0.4300)
Br (0.7469, 0.4923, 0.9300)
Br (0.7531, 0.5077, 0.4300)
Br (0.7531, 0.9923, 0.9300)
Br (0.7673, 0.0156, 0.1912)
Br (0.7673, 0.4844, 0.6912)
Br (0.9255, 0.2423, 0.3088)
Br (0.9255, 0.2577, 0.8088)
Br (0.9450, 0.2501, 0.0703)
Br (0.9450, 0.2499, 0.5703)

=====

[3]
For SrGdCuSe2S, the GGA-PBE geometry in OQMD gives the simulated XRD peak list in this record (Cu Ka).
Kinematic intensities with the Lorentz-polarization factor, no thermal factor.

The 6 most intense peaks (2θ = 10–80°), in order of falling intensity:
2θ/deg	d [Å]	intensity
34.4	2.609	100
43.9	2.061	78
29.7	3.011	47
30.9	2.893	43
13.2	6.726	35
34.6	2.594	29

Crystal structure
a = 10.4450 Å, b = 4.0637 Å, c = 13.4515 Å
α = 90.00°, β = 90.00°, γ = 90.00°
Fractional positions:
Sr (0.2353, 0.2500, 0.0105)
Sr (0.2647, 0.7500, 0.5105)
Sr (0.7353, 0.2500, 0.4895)
Sr (0.7647, 0.7500, 0.9895)
Gd (0.0111, 0.7500, 0.2553)
Gd (0.4889, 0.2500, 0.7553)
Gd (0.5111, 0.7500, 0.2447)
Gd (0.9889, 0.2500, 0.7447)
Cu (0.2409, 0.7500, 0.7732)
Cu (0.2591, 0.2500, 0.2732)
Cu (0.7409, 0.7500, 0.7268)
Cu (0.7591, 0.2500, 0.2268)
Se (0.0561, 0.7500, 0.8888)
Se (0.0813, 0.2500, 0.3957)
Se (0.4187, 0.7500, 0.8957)
Se (0.4439, 0.2500, 0.3888)
Se (0.5561, 0.7500, 0.6112)
Se (0.5813, 0.2500, 0.1043)
Se (0.9187, 0.7500, 0.6043)
Se (0.9439, 0.2500, 0.1112)
S (0.2416, 0.2500, 0.6770)
S (0.2584, 0.7500, 0.1771)
S (0.7416, 0.2500, 0.8230)
S (0.7584, 0.7500, 0.3230)

=====

[4]
For TbCo2Cl8, the GGA-PBE geometry in OQMD gives the simulated XRD peak list in this record (Cu Ka).
Kinematic intensities with the Lorentz-polarization factor, no thermal factor.

The 6 most intense peaks (2θ = 10–80°), in order of falling intensity:
2θ/deg	d [Å]	intensity
21.5	4.134	100
39.7	2.268	82
24.8	3.595	68
34.0	2.635	59
34.9	2.568	34
16.5	5.376	34

Crystal structure
a = 7.9917 Å, b = 7.9917 Å, c = 7.9917 Å
α = 137.08°, β = 137.08°, γ = 62.31°
Fractional positions:
Tb (0.0000, 0.0000, 0.0000)
Co (0.3077, 0.3077, 0.0000)
Co (0.6923, 0.6923, 0.0000)
Cl (0.0250, 0.0103, 0.3959)
Cl (0.2074, 0.6173, 0.9732)
Cl (0.3709, 0.9750, 0.9853)
Cl (0.3827, 0.3559, 0.5902)
Cl (0.6144, 0.6291, 0.6041)
Cl (0.6441, 0.2342, 0.0268)
Cl (0.7658, 0.7926, 0.4098)
Cl (0.9897, 0.3856, 0.0147)

=====

[5]
For Hf3Zr4, the GGA-PBE geometry in OQMD gives the simulated XRD peak list in this record (Cu Ka).
Kinematic intensities with the Lorentz-polarization factor, no thermal factor.

The 6 most intense peaks (2θ = 10–80°), in order of falling intensity:
2θ/deg	d [Å]	intensity
36.7	2.446	100
35.0	2.563	25
32.2	2.783	25
69.0	1.361	21
63.9	1.456	20
57.3	1.607	19

Crystal structure
a = 8.5034 Å, b = 8.5034 Å, c = 5.1254 Å
α = 90.00°, β = 90.00°, γ = 120.00°
Fractional positions:
Hf (0.0962, 0.4788, 0.2500)
Hf (0.3827, 0.9038, 0.2500)
Hf (0.4788, 0.3827, 0.7500)
Hf (0.5212, 0.6173, 0.2500)
Hf (0.6173, 0.0962, 0.7500)
Hf (0.9038, 0.5212, 0.7500)
Zr (0.0459, 0.2394, 0.7500)
Zr (0.1935, 0.9541, 0.7500)
Zr (0.2394, 0.1935, 0.2500)
Zr (0.3333, 0.6667, 0.7500)
Zr (0.6667, 0.3333, 0.2500)
Zr (0.7606, 0.8065, 0.7500)
Zr (0.8065, 0.0459, 0.2500)
Zr (0.9541, 0.7606, 0.2500)

=====

[6]
For ZrMo, the GGA-PBE geometry in OQMD gives the simulated XRD peak list in this record (Cu Ka).
Kinematic intensities with the Lorentz-polarization factor, no thermal factor.

The 6 most intense peaks (2θ = 10–80°), in order of falling intensity:
2θ/deg	d [Å]	intensity
38.0	2.371	100
38.1	2.361	99
36.8	2.445	57
38.8	2.322	43
54.5	1.684	31
67.0	1.397	18

Crystal structure
a = 6.6503 Å, b = 4.8893 Å, c = 7.1523 Å
α = 90.00°, β = 103.12°, γ = 90.00°
Fractional positions:
Zr (0.0363, 0.2500, 0.1726)
Zr (0.3020, 0.7500, 0.2034)
Zr (0.4465, 0.7500, 0.8234)
Zr (0.5535, 0.2500, 0.1766)
Zr (0.6980, 0.2500, 0.7966)
Zr (0.9637, 0.7500, 0.8274)
Mo (0.1141, 0.7500, 0.4957)
Mo (0.2024, 0.2500, 0.8030)
Mo (0.3664, 0.2500, 0.5028)
Mo (0.6336, 0.7500, 0.4972)
Mo (0.7976, 0.7500, 0.1970)
Mo (0.8859, 0.2500, 0.5043)